# 1
Calculated X-ray powder pattern of TmTh2Tc for a wavelength of 1.5418 Å, from the PBE geometry in Alexandria.
Peak positions follow from Bragg's law for the DFT cell and can differ from measured ones.

Principal peaks in the range 2θ from 10° to 90°, in order of rising 2θ:
29.81 deg, intensity 279; 30.63 deg, intensity 386; 31.09 deg, intensity 1000; 32.50 deg, intensity 529; 33.47 deg, intensity 381; 33.90 deg, intensity 667; 36.32 deg, intensity 296; 37.09 deg, intensity 286; 53.78 deg, intensity 252; 55.65 deg, intensity 238

```
TmTh2Tc
1.0
7.2956 0.0000 0.0000
0.0000 9.7284 0.0000
0.0000 0.0000 6.2510
Tm Th Tc
4 8 4
direct
0.0406 0.2500 0.1461
0.4594 0.7500 0.6461
0.5406 0.2500 0.3539
0.9594 0.7500 0.8539
0.1706 0.0626 0.6689
0.1706 0.4374 0.6689
0.3294 0.5626 0.1689
0.3294 0.9374 0.1689
0.6706 0.0626 0.8311
0.6706 0.4374 0.8311
0.8294 0.5626 0.3311
0.8294 0.9374 0.3311
0.1157 0.7500 0.4116
0.3843 0.2500 0.9116
0.6157 0.7500 0.0884
0.8843 0.2500 0.5884
```

***

# 2
Calculated X-ray powder pattern of Th4ZnTc for a wavelength of 1.5418 Å, from the PBE geometry in Alexandria.
Peak positions follow from Bragg's law for the DFT cell and can differ from measured ones.

Principal peaks in the range 2θ from 10° to 90°, in order of rising 2θ:
29.30 deg, intensity 169; 31.19 deg, intensity 1000; 34.20 deg, intensity 146; 38.55 deg, intensity 214; 39.20 deg, intensity 235; 53.16 deg, intensity 232; 54.17 deg, intensity 166; 59.21 deg, intensity 80; 62.17 deg, intensity 165; 71.62 deg, intensity 91

```
Th4ZnTc
1.0
7.2671 0.0000 0.0000
0.0000 7.2671 0.0000
0.0000 0.0000 6.0963
Th Zn Tc
8 2 2
direct
0.1501 0.3239 0.0000
0.1501 0.6761 0.5000
0.3239 0.1501 0.5000
0.3239 0.8499 0.0000
0.6761 0.1501 0.0000
0.6761 0.8499 0.5000
0.8499 0.3239 0.5000
0.8499 0.6761 0.0000
0.5000 0.5000 0.2500
0.5000 0.5000 0.7500
0.0000 0.0000 0.2500
0.0000 0.0000 0.7500
```

***

# 3
Calculated X-ray powder pattern of TiTc for a wavelength of 1.5418 Å, from the PBE geometry in Alexandria.
Peak positions follow from Bragg's law for the DFT cell and can differ from measured ones.

Principal peaks in the range 2θ from 10° to 90°, in order of rising 2θ:
28.75 deg, intensity 171; 41.12 deg, intensity 1000; 50.94 deg, intensity 49; 59.55 deg, intensity 159; 67.45 deg, intensity 65; 74.92 deg, intensity 312; 89.22 deg, intensity 101

```
TiTc
1.0
3.1048 0.0000 0.0000
0.0000 3.1048 0.0000
0.0000 0.0000 3.1048
Ti Tc
1 1
direct
0.0000 0.0000 0.0000
0.5000 0.5000 0.5000
```

***

# 4
Calculated X-ray powder pattern of Ti3Tc5 for a wavelength of 1.5418 Å, from the PBE geometry in Alexandria.
Peak positions follow from Bragg's law for the DFT cell and can differ from measured ones.

Principal peaks in the range 2θ from 10° to 90°, in order of rising 2θ:
20.28 deg, intensity 42; 28.84 deg, intensity 81; 35.51 deg, intensity 21; 41.24 deg, intensity 1000; 51.10 deg, intensity 23; 55.53 deg, intensity 12; 59.74 deg, intensity 160; 67.67 deg, intensity 31; 75.18 deg, intensity 316; 89.55 deg, intensity 103

```
Ti3Tc5
1.0
-3.0958 3.0958 3.0958
3.0958 -3.0958 3.0958
3.0958 3.0958 -3.0958
Ti Tc
3 5
direct
0.0000 0.5000 0.5000
0.5000 0.0000 0.5000
0.5000 0.5000 0.0000
0.0000 0.0000 0.0000
0.0000 0.0000 0.5000
0.0000 0.5000 0.0000
0.5000 0.0000 0.0000
0.5000 0.5000 0.5000
```

***

# 5
Calculated X-ray powder pattern of TiTc2 for a wavelength of 1.5418 Å, from the PBE geometry in Alexandria.
Peak positions follow from Bragg's law for the DFT cell and can differ from measured ones.

Principal peaks in the range 2θ from 10° to 90°, in order of rising 2θ:
21.19 deg, intensity 479; 34.95 deg, intensity 100; 41.24 deg, intensity 1000; 43.16 deg, intensity 662; 50.26 deg, intensity 189; 55.13 deg, intensity 111; 66.96 deg, intensity 297; 73.82 deg, intensity 287; 88.25 deg, intensity 105; 89.54 deg, intensity 241

```
TiTc2
1.0
0.0000 3.6306 3.6306
3.6306 0.0000 3.6306
3.6306 3.6306 0.0000
Ti Tc
2 4
direct
0.1250 0.1250 0.1250
0.8750 0.8750 0.8750
0.0000 0.5000 0.5000
0.5000 0.0000 0.5000
0.5000 0.5000 0.0000
0.5000 0.5000 0.5000
```

***

# 6
Calculated X-ray powder pattern of TiTc for a wavelength of 1.5418 Å, from the PBE geometry in Alexandria.
Peak positions follow from Bragg's law for the DFT cell and can differ from measured ones.

Principal peaks in the range 2θ from 10° to 90°, in order of rising 2θ:
23.00 deg, intensity 185; 39.46 deg, intensity 275; 41.02 deg, intensity 1000; 42.34 deg, intensity 229; 59.26 deg, intensity 157; 59.55 deg, intensity 80; 72.62 deg, intensity 161; 73.80 deg, intensity 79; 76.54 deg, intensity 146; 88.97 deg, intensity 98

```
TiTc
1.0
-1.5525 2.1346 4.5672
1.5525 -2.1346 4.5672
1.5525 2.1346 -4.5672
Ti Tc
2 2
direct
0.3677 0.1177 0.2500
0.6323 0.8823 0.7500
0.1190 0.3690 0.7500
0.8810 0.6310 0.2500
```

***

# 7
Calculated X-ray powder pattern of Ti5Tc for a wavelength of 1.5418 Å, from the PBE geometry in Alexandria.
Peak positions follow from Bragg's law for the DFT cell and can differ from measured ones.

Principal peaks in the range 2θ from 10° to 90°, in order of rising 2θ:
13.01 deg, intensity 149; 23.43 deg, intensity 90; 39.38 deg, intensity 265; 39.74 deg, intensity 241; 39.94 deg, intensity 1000; 57.18 deg, intensity 153; 58.33 deg, intensity 77; 71.78 deg, intensity 155; 72.26 deg, intensity 132; 86.16 deg, intensity 90

```
Ti5Tc
1.0
1.5819 -6.8053 0.0000
1.5819 6.8053 0.0000
0.0000 0.0000 4.5761
Ti Tc
5 1
direct
0.0000 0.0000 0.0000
0.1535 0.8465 0.5000
0.3310 0.6690 0.0000
0.6690 0.3310 0.0000
0.8465 0.1535 0.5000
0.5000 0.5000 0.5000
```

***

# 8
Calculated X-ray powder pattern of Ti2VTc for a wavelength of 1.5418 Å, from the PBE geometry in Alexandria.
Peak positions follow from Bragg's law for the DFT cell and can differ from measured ones.

Principal peaks in the range 2θ from 10° to 90°, in order of rising 2θ:
17.85 deg, intensity 190; 39.51 deg, intensity 765; 40.82 deg, intensity 360; 41.93 deg, intensity 1000; 58.07 deg, intensity 108; 59.92 deg, intensity 215; 71.78 deg, intensity 113; 74.90 deg, intensity 102; 76.55 deg, intensity 110; 76.73 deg, intensity 147

```
Ti2VTc
1.0
2.8355 0.0000 0.0000
0.0000 4.3143 0.0000
-1.1580 0.0000 4.9700
Ti V Tc
2 1 1
direct
0.0000 0.0000 0.0000
0.2990 0.5000 0.7335
0.7172 0.5000 0.2590
0.5147 0.0000 0.4890
```